Pm2Er3ScS6: theoretical powder diffractogram (Cu Kα (λ = 1.5418 Å)), based on a DFT-relaxed cell (PBE, Alexandria).
Kinematic intensities with the Lorentz-polarization factor, no thermal factor.

Most intense lines, 2θ = 5–70°, sorted by position:
d 3.195, I = 55, hkl 2 0 2; d 3.173, I = 54, hkl 3 1 0; d 2.760, I = 100, hkl 1 1 -2; d 2.751, I = 49, hkl 6 0 0; d 1.962, I = 18, hkl 2 0 -4; d 1.949, I = 70, hkl 7 1 -2; d 1.942, I = 18, hkl 0 2 0; d 1.669, I = 18, hkl 1 1 4; d 1.659, I = 31, hkl 8 0 2; d 1.599, I = 10, hkl 8 0 -4; d 1.587, I = 18, hkl 6 2 0; d 1.380, I = 11, hkl 2 2 -4

a b c (Å): 16.975 3.884 7.847
angles (deg): 90.00 103.50 90.00
Space group C2/m (No. 12)
One atom of each set of equivalent atoms:
Pm (0.167, 0.000, 0.334) [4 per cell]
Er (0.000, 0.500, 0.500) [2 per cell]
Er (0.170, 0.000, 0.834) [4 per cell]
Sc (0.000, 0.500, 0.000) [2 per cell]
S (0.005, 0.000, 0.760) [4 per cell]
S (0.162, 0.500, 0.071) [4 per cell]
S (0.163, 0.500, 0.592) [4 per cell]